Na4CO4: simulated XRD peak list (Cu Kα (λ = 1.5418 Å)), based on DFT lattice parameters and positions (PBE).

Cell and atoms:
a = 4.6893 Å, b = 4.6893 Å, c = 5.0911 Å
α = 93.61°, β = 93.61°, γ = 94.40°
Element x y z (fractional)
Na (0.0000, 0.0000, 0.0000)
Na (0.5039, 0.9225, 0.4032)
Na (0.5585, 0.5585, 0.8747)
Na (0.9225, 0.5039, 0.4032)
C (0.2255, 0.2255, 0.6476)
O (0.0246, 0.0246, 0.4803)
O (0.0725, 0.4129, 0.8127)
O (0.3941, 0.3941, 0.4706)
O (0.4129, 0.0725, 0.8127)

Principal peaks in the range 15 to 90 degrees two-theta, in order of rising 2θ:
2θ/deg  d_spacing  I (rel.)
17.50  5.069  51
19.03  4.665  30
35.42  2.535  60
38.60  2.332  100
45.16  2.008  47
55.32  1.661  27

=====

Na4C2O5: simulated XRD peak list (Cu Kα (λ = 1.5418 Å)), based on DFT lattice parameters and positions (PBE).

Cell and atoms:
a = 5.0646 Å, b = 5.0646 Å, c = 6.2035 Å
α = 98.81°, β = 98.81°, γ = 63.78°
Element x y z (fractional)
Na (0.0000, 0.0000, 0.0000)
Na (0.0055, 0.0055, 0.4952)
Na (0.3357, 0.3357, 0.7689)
Na (0.6690, 0.6690, 0.2355)
C (0.3176, 0.3176, 0.2556)
C (0.6626, 0.6626, 0.7428)
O (0.1843, 0.5986, 0.2216)
O (0.3880, 0.8091, 0.7859)
O (0.5986, 0.1843, 0.2216)
O (0.7897, 0.7897, 0.6588)
O (0.8091, 0.3880, 0.7859)

Principal peaks in the range 15 to 90 degrees two-theta, in order of rising 2θ:
2θ/deg  d_spacing  I (rel.)
29.27  3.051  58
33.82  2.650  48
36.00  2.495  100
37.10  2.423  92
41.22  2.190  40
47.70  1.907  73

=====

Na4CO4: simulated XRD peak list (Cu Kα (λ = 1.5418 Å)), based on DFT lattice parameters and positions (PBE).

Cell and atoms:
a = 5.3195 Å, b = 5.3195 Å, c = 5.3195 Å
α = 72.04°, β = 72.04°, γ = 72.04°
Element x y z (fractional)
Na (0.0000, 0.0000, 0.0000)
Na (0.3961, 0.3961, 0.8783)
Na (0.3961, 0.8783, 0.3961)
Na (0.8783, 0.3961, 0.3961)
C (0.7831, 0.7831, 0.7831)
O (0.5753, 0.9513, 0.9513)
O (0.6659, 0.6659, 0.6659)
O (0.9513, 0.5753, 0.9513)
O (0.9513, 0.9513, 0.5753)

Principal peaks in the range 15 to 90 degrees two-theta, in order of rising 2θ:
2θ/deg  d_spacing  I (rel.)
18.04  4.918  100
22.77  3.905  67
33.96  2.640  91
36.54  2.459  88
36.81  2.441  81
59.06  1.564  44

=====

Na4CO4: simulated XRD peak list (Cu Kα (λ = 1.5418 Å)), based on DFT lattice parameters and positions (PBE).

Cell and atoms:
a = 3.7317 Å, b = 6.3019 Å, c = 7.2954 Å
α = 115.13°, β = 93.39°, γ = 99.43°
Element x y z (fractional)
Na (0.0000, 0.0000, 0.0000)
Na (0.1729, 0.6884, 0.5917)
Na (0.4535, 0.5159, 0.9776)
Na (0.7932, 0.1838, 0.6373)
C (0.5236, 0.3336, 0.3075)
O (0.2827, 0.0953, 0.7725)
O (0.6011, 0.5498, 0.3476)
O (0.7082, 0.1807, 0.2912)
O (0.9663, 0.6019, 0.8442)

Principal peaks in the range 15 to 90 degrees two-theta, in order of rising 2θ:
2θ/deg  d_spacing  I (rel.)
24.77  3.595  65
26.24  3.397  48
27.96  3.191  51
32.05  2.792  100
35.50  2.529  57
43.38  2.086  67

=====

Na4CO4: simulated XRD peak list (Cu Kα (λ = 1.5418 Å)), based on DFT lattice parameters and positions (PBE).

Cell and atoms:
a = 5.8072 Å, b = 5.8072 Å, c = 5.8072 Å
α = 99.93°, β = 99.93°, γ = 130.93°
Element x y z (fractional)
Na (0.1741, 0.1741, 0.6518)
Na (0.4777, 0.8259, 0.0000)
Na (0.5223, 0.5223, 0.3482)
Na (0.8259, 0.4777, 0.0000)
C (0.0000, 0.0000, 0.0000)
O (0.0581, 0.2813, 0.0000)
O (0.2813, 0.0581, 0.0000)
O (0.7187, 0.7187, 0.7768)
O (0.9419, 0.9419, 0.2232)

Principal peaks in the range 15 to 90 degrees two-theta, in order of rising 2θ:
2θ/deg  d_spacing  I (rel.)
16.78  5.283  100
32.60  2.746  17
41.15  2.194  31
47.77  1.904  15
51.30  1.781  20
54.06  1.696  17

=====

Na4CO4: simulated XRD peak list (Cu Kα (λ = 1.5418 Å)), based on DFT lattice parameters and positions (PBE).

Cell and atoms:
a = 4.7511 Å, b = 4.7511 Å, c = 4.7511 Å
α = 89.14°, β = 89.14°, γ = 89.14°
Element x y z (fractional)
Na (0.0000, 0.0000, 0.0000)
Na (0.4186, 0.4546, 0.9954)
Na (0.4546, 0.9954, 0.4186)
Na (0.9954, 0.4186, 0.4546)
C (0.7228, 0.7228, 0.7228)
O (0.5435, 0.9056, 0.8942)
O (0.5497, 0.5497, 0.5497)
O (0.8942, 0.5435, 0.9056)
O (0.9056, 0.8942, 0.5435)

Principal peaks in the range 15 to 90 degrees two-theta, in order of rising 2θ:
2θ/deg  d_spacing  I (rel.)
18.68  4.750  31
32.82  2.729  24
37.88  2.375  100
46.97  1.934  41
54.21  1.692  28
55.09  1.667  28